1.
The following is a simulated powder XRD pattern of Th2NbGa. It was derived from a crystal structure in Alexandria, relaxed with PBE, using a wavelength of 1.5418 Å.
Lines closer than 0.1° are merged.

Largest 12 diffraction maxima, sorted by position, 10 to 80 degrees two-theta:
16.0 deg, I = 72; 31.6 deg, I = 100; 31.9 deg, I = 82; 32.3 deg, I = 66; 34.3 deg, I = 78; 36.9 deg, I = 38; 41.8 deg, I = 74; 43.7 deg, I = 55; 56.0 deg, I = 47; 57.2 deg, I = 22; 66.2 deg, I = 51; 70.6 deg, I = 22

Structure:
Lattice parameters (Å, degrees): 11.240 11.240 11.240 16.79 16.79 16.79
Sites, in units of the cell vectors:
Th  0.089  0.089  0.089
Th  0.911  0.911  0.911
Nb  0.000  0.000  0.000
Ga  0.500  0.500  0.500

=====

2.
The following is a simulated powder XRD pattern of Na2SrHg8. It was derived from a crystal structure in Alexandria, relaxed with PBE, using a wavelength of 1.5418 Å.
Lines closer than 0.1° are merged.

Largest 12 diffraction maxima, sorted by position, 10 to 80 degrees two-theta:
21.1 deg, I = 61; 22.9 deg, I = 24; 31.2 deg, I = 57; 31.8 deg, I = 37; 32.2 deg, I = 24; 32.9 deg, I = 35; 34.1 deg, I = 33; 34.9 deg, I = 100; 36.4 deg, I = 53; 39.2 deg, I = 25; 42.0 deg, I = 32; 44.3 deg, I = 25

Structure:
Lattice parameters (Å, degrees): 9.185 9.185 5.564 106.34 106.34 125.70
Sites, in units of the cell vectors:
Na  0.182  0.818  0.000
Na  0.818  0.182  0.000
Sr  0.500  0.500  0.500
Hg  0.052  0.052  0.801
Hg  0.133  0.410  0.753
Hg  0.293  0.707  0.500
Hg  0.410  0.133  0.753
Hg  0.590  0.867  0.247
Hg  0.707  0.293  0.500
Hg  0.867  0.590  0.247
Hg  0.948  0.948  0.199

=====

3.
The following is a simulated powder XRD pattern of Bi3Rh4S. It was derived from a crystal structure in Alexandria, relaxed with PBE, using a wavelength of 1.5418 Å.
Lines closer than 0.1° are merged.

Largest 12 diffraction maxima, sorted by position, 10 to 80 degrees two-theta:
24.7 deg, I = 48; 28.9 deg, I = 52; 29.5 deg, I = 93; 32.1 deg, I = 35; 32.5 deg, I = 52; 36.1 deg, I = 35; 36.3 deg, I = 90; 39.9 deg, I = 41; 40.9 deg, I = 100; 42.6 deg, I = 70; 43.8 deg, I = 55; 55.3 deg, I = 36

Structure:
Lattice parameters (Å, degrees): 8.263 7.412 5.576 90.00 90.00 90.00
Sites, in units of the cell vectors:
Bi  0.000  0.205  0.000
Bi  0.240  0.619  0.013
Bi  0.260  0.381  0.513
Bi  0.500  0.795  0.500
Bi  0.740  0.381  0.513
Bi  0.760  0.619  0.013
Rh  0.000  0.151  0.493
Rh  0.000  0.847  0.152
Rh  0.218  0.952  0.759
Rh  0.282  0.048  0.259
Rh  0.500  0.153  0.652
Rh  0.500  0.849  0.993
Rh  0.718  0.048  0.259
Rh  0.782  0.952  0.759
S  0.000  0.834  0.554
S  0.500  0.166  0.054

=====

4.
The following is a simulated powder XRD pattern of CdSbMo. It was derived from a crystal structure in Alexandria, relaxed with PBE, using a wavelength of 1.5418 Å.
Lines closer than 0.1° are merged.

Largest 12 diffraction maxima, sorted by position, 10 to 80 degrees two-theta:
27.1 deg, I = 3; 36.0 deg, I = 3; 36.5 deg, I = 58; 37.4 deg, I = 100; 52.2 deg, I = 4; 52.6 deg, I = 20; 55.2 deg, I = 6; 66.3 deg, I = 35; 68.0 deg, I = 13; 71.5 deg, I = 4; 77.6 deg, I = 6; 79.8 deg, I = 8

Structure:
Lattice parameters (Å, degrees): 5.562 5.562 5.562 143.54 143.54 52.52
Sites, in units of the cell vectors:
Cd  0.000  0.000  0.000
Sb  0.693  0.693  0.000
Mo  0.323  0.323  0.000

=====

5.
The following is a simulated powder XRD pattern of Pm6Te2AsSe3. It was derived from a crystal structure in Alexandria, relaxed with PBE, using a wavelength of 1.5418 Å.
Lines closer than 0.1° are merged.

Largest 12 diffraction maxima, sorted by position, 10 to 80 degrees two-theta:
29.4 deg, I = 100; 41.7 deg, I = 12; 41.9 deg, I = 25; 42.1 deg, I = 24; 42.4 deg, I = 13; 51.6 deg, I = 6; 52.0 deg, I = 6; 52.4 deg, I = 13; 61.0 deg, I = 8; 68.9 deg, I = 10; 69.2 deg, I = 9; 69.6 deg, I = 6

Structure:
Lattice parameters (Å, degrees): 9.610 9.610 8.666 102.60 102.60 25.63
Sites, in units of the cell vectors:
Pm  0.005  0.005  0.262
Pm  0.340  0.340  0.435
Pm  0.343  0.343  0.896
Pm  0.657  0.657  0.104
Pm  0.660  0.660  0.565
Pm  0.995  0.995  0.738
Te  0.169  0.169  0.840
Te  0.831  0.831  0.160
As  0.500  0.500  0.500
Se  0.170  0.170  0.340
Se  0.500  0.500  0.000
Se  0.830  0.830  0.660

=====

6.
The following is a simulated powder XRD pattern of La2NdHg4. It was derived from a crystal structure in Alexandria, relaxed with PBE, using a wavelength of 1.5418 Å.
Lines closer than 0.1° are merged.

Largest 12 diffraction maxima, sorted by position, 10 to 80 degrees two-theta:
19.6 deg, I = 6; 23.3 deg, I = 23; 32.6 deg, I = 100; 33.9 deg, I = 94; 47.7 deg, I = 35; 53.0 deg, I = 7; 57.5 deg, I = 19; 59.8 deg, I = 36; 60.6 deg, I = 18; 68.4 deg, I = 11; 71.2 deg, I = 11; 78.5 deg, I = 15

Structure:
Lattice parameters (Å, degrees): 9.629 9.629 9.629 31.92 31.92 31.92
Sites, in units of the cell vectors:
La  0.244  0.244  0.244
La  0.756  0.756  0.756
Nd  0.000  0.000  0.000
Hg  0.126  0.126  0.126
Hg  0.373  0.373  0.373
Hg  0.627  0.627  0.627
Hg  0.874  0.874  0.874

=====

7.
The following is a simulated powder XRD pattern of Ac8TbSm4. It was derived from a crystal structure in Alexandria, relaxed with PBE, using a wavelength of 1.5418 Å.
Lines closer than 0.1° are merged.

Largest 12 diffraction maxima, sorted by position, 10 to 80 degrees two-theta:
18.4 deg, I = 7; 21.3 deg, I = 18; 30.3 deg, I = 100; 35.7 deg, I = 4; 37.3 deg, I = 6; 43.3 deg, I = 19; 48.8 deg, I = 8; 53.7 deg, I = 30; 53.8 deg, I = 10; 62.9 deg, I = 6; 63.0 deg, I = 6; 71.4 deg, I = 17

Structure:
Lattice parameters (Å, degrees): 8.353 8.353 8.353 90.08 90.08 90.08
Sites, in units of the cell vectors:
Ac  0.241  0.241  0.241
Ac  0.241  0.241  0.758
Ac  0.241  0.758  0.241
Ac  0.242  0.759  0.759
Ac  0.758  0.241  0.241
Ac  0.759  0.242  0.759
Ac  0.759  0.759  0.242
Ac  0.759  0.759  0.759
Tb  0.500  0.500  0.500
Sm  0.000  0.000  0.000
Sm  0.000  0.500  0.500
Sm  0.500  0.000  0.500
Sm  0.500  0.500  0.000

=====

8.
The following is a simulated powder XRD pattern of Pr2Ga3Hg. It was derived from a crystal structure in Alexandria, relaxed with PBE, using a wavelength of 1.5418 Å.
Lines closer than 0.1° are merged.

Largest 12 diffraction maxima, sorted by position, 10 to 80 degrees two-theta:
15.7 deg, I = 4; 22.5 deg, I = 10; 31.7 deg, I = 100; 32.2 deg, I = 4; 39.9 deg, I = 54; 44.5 deg, I = 13; 51.8 deg, I = 25; 61.3 deg, I = 30; 67.3 deg, I = 15; 67.4 deg, I = 8; 72.5 deg, I = 6; 73.9 deg, I = 9

Structure:
Lattice parameters (Å, degrees): 9.045 8.833 6.079 72.01 68.26 39.73
Sites, in units of the cell vectors:
Pr  0.247  0.753  0.753
Pr  0.250  0.250  0.250
Pr  0.750  0.750  0.750
Pr  0.753  0.247  0.247
Ga  0.177  0.662  0.338
Ga  0.338  0.823  0.177
Ga  0.339  0.339  0.661
Ga  0.661  0.661  0.339
Ga  0.662  0.177  0.823
Ga  0.823  0.338  0.662
Hg  0.167  0.167  0.833
Hg  0.833  0.833  0.167

=====

9.
The following is a simulated powder XRD pattern of FeReTc2H. It was derived from a crystal structure in Alexandria, relaxed with PBE, using a wavelength of 1.5418 Å.
Lines closer than 0.1° are merged.

Largest 12 diffraction maxima, sorted by position, 10 to 80 degrees two-theta:
23.0 deg, I = 17; 32.7 deg, I = 14; 40.3 deg, I = 100; 46.8 deg, I = 16; 47.0 deg, I = 32; 52.7 deg, I = 4; 53.0 deg, I = 4; 58.4 deg, I = 6; 68.5 deg, I = 21; 68.7 deg, I = 10; 73.3 deg, I = 3; 78.2 deg, I = 1

Structure:
Lattice parameters (Å, degrees): 3.865 3.865 3.885 90.00 90.00 90.00
Sites, in units of the cell vectors:
Fe  0.000  0.000  0.000
Re  0.500  0.500  0.000
Tc  0.000  0.500  0.500
Tc  0.500  0.000  0.500
H  0.500  0.500  0.500

=====

10.
The following is a simulated powder XRD pattern of Na2SiRhO4. It was derived from a crystal structure in Alexandria, relaxed with PBE, using a wavelength of 1.5418 Å.
Lines closer than 0.1° are merged.

Largest 12 diffraction maxima, sorted by position, 10 to 80 degrees two-theta:
21.4 deg, I = 100; 21.8 deg, I = 18; 29.7 deg, I = 16; 31.0 deg, I = 55; 37.1 deg, I = 92; 38.0 deg, I = 38; 44.5 deg, I = 31; 50.1 deg, I = 14; 59.3 deg, I = 54; 59.9 deg, I = 12; 70.6 deg, I = 15; 73.5 deg, I = 14

Structure:
Lattice parameters (Å, degrees): 5.065 5.065 5.065 110.67 110.67 107.11
Sites, in units of the cell vectors:
Na  0.000  0.000  0.000
Na  0.750  0.250  0.500
Si  0.500  0.500  0.000
Rh  0.250  0.750  0.500
O  0.191  0.152  0.676
O  0.476  0.514  0.324
O  0.486  0.809  0.962
O  0.848  0.524  0.038

=====

11.
The following is a simulated powder XRD pattern of Mg2ZnCr. It was derived from a crystal structure in Alexandria, relaxed with PBE, using a wavelength of 1.5418 Å.
Lines closer than 0.1° are merged.

Largest 12 diffraction maxima, sorted by position, 10 to 80 degrees two-theta:
22.4 deg, I = 31; 28.6 deg, I = 17; 30.2 deg, I = 15; 36.7 deg, I = 100; 37.9 deg, I = 91; 42.1 deg, I = 67; 45.8 deg, I = 26; 48.2 deg, I = 15; 59.3 deg, I = 11; 64.0 deg, I = 35; 72.6 deg, I = 23; 75.0 deg, I = 21

Structure:
Lattice parameters (Å, degrees): 4.946 4.946 3.116 90.00 90.00 106.50
Sites, in units of the cell vectors:
Mg  0.000  0.500  0.000
Mg  0.500  0.000  0.000
Zn  0.000  0.000  0.500
Cr  0.500  0.500  0.500

=====

12.
The following is a simulated powder XRD pattern of ZrSbS4. It was derived from a crystal structure in Alexandria, relaxed with PBE, using a wavelength of 1.5418 Å.
Lines closer than 0.1° are merged.

Largest 12 diffraction maxima, sorted by position, 10 to 80 degrees two-theta:
11.3 deg, I = 19; 11.5 deg, I = 31; 18.2 deg, I = 100; 18.5 deg, I = 22; 22.0 deg, I = 26; 23.0 deg, I = 42; 24.6 deg, I = 19; 32.7 deg, I = 28; 34.8 deg, I = 24; 35.1 deg, I = 50; 42.3 deg, I = 21; 48.2 deg, I = 21

Structure:
Lattice parameters (Å, degrees): 8.618 8.618 8.135 107.43 107.43 34.54
Sites, in units of the cell vectors:
Zr  0.209  0.209  0.307
Zr  0.791  0.791  0.693
Sb  0.101  0.101  0.710
Sb  0.899  0.899  0.290
S  0.065  0.065  0.376
S  0.101  0.101  0.028
S  0.264  0.264  0.655
S  0.354  0.354  0.252
S  0.646  0.646  0.748
S  0.736  0.736  0.345
S  0.899  0.899  0.972
S  0.935  0.935  0.624